Record 1
Structure and computed powder XRD pattern of Ba2TbTmO5 (DFT lattice parameters and positions (PBE); Cu Kα X-rays).
Kinematic intensities with the Lorentz-polarization factor, no thermal factor.

The 10 most intense peaks (10 to 80 degrees two-theta), low angle first:
| 2theta | I/Imax |
| --- | --- |
| 24.93 | 53 |
| 25.88 | 31 |
| 28.83 | 100 |
| 30.60 | 38 |
| 31.49 | 69 |
| 33.19 | 54 |
| 38.33 | 25 |
| 38.51 | 18 |
| 49.40 | 20 |
| 58.21 | 22 |

Cell and atoms:
```
Ba2TbTmO5
1.0
1.845 -7.175 0.000
1.845 7.175 0.000
0.000 0.000 12.357
Ba Tb Tm O
4 2 2 10
Cartesian
1.845 5.895 6.178
1.845 5.000 1.525
1.845 -5.000 7.703
1.845 -5.895 0.000
1.845 3.979 10.511
1.845 -3.979 4.333
1.845 0.447 3.429
1.845 -0.447 9.607
1.845 6.329 10.623
1.845 3.292 5.879
1.845 2.717 2.974
1.845 1.739 10.196
1.845 0.118 7.565
1.845 -0.118 1.387
1.845 -1.739 4.017
1.845 -2.717 9.152
1.845 -3.292 12.057
1.845 -6.329 4.445
```

=====

Record 2
Structure and computed powder XRD pattern of SrAc2Cu2O6 (DFT lattice parameters and positions (PBE); Cu Kα X-rays).
Kinematic intensities with the Lorentz-polarization factor, no thermal factor.

The 10 most intense peaks (10 to 80 degrees two-theta), low angle first:
| 2theta | I/Imax |
| --- | --- |
| 14.16 | 54 |
| 29.41 | 89 |
| 29.94 | 100 |
| 33.27 | 32 |
| 42.32 | 16 |
| 42.47 | 42 |
| 52.83 | 39 |
| 53.16 | 20 |
| 62.22 | 17 |
| 70.29 | 16 |

Cell and atoms:
```
SrAc2Cu2O6
1.0
2.984 1.723 6.254
-2.984 1.723 6.254
0.000 -3.446 6.254
Sr Ac Cu O
1 2 2 6
Cartesian
0.000 0.000 0.000
0.000 0.000 3.753
0.000 0.000 15.008
0.000 0.000 8.052
0.000 0.000 10.709
-1.605 -0.927 10.606
0.000 -1.853 8.155
-1.605 0.927 8.155
1.605 -0.927 10.606
0.000 1.853 10.606
1.605 0.927 8.155
```

=====

Record 3
Structure and computed powder XRD pattern of Ho13Pu2 (DFT lattice parameters and positions (PBE); Cu Kα X-rays).
Kinematic intensities with the Lorentz-polarization factor, no thermal factor.

The 10 most intense peaks (10 to 80 degrees two-theta), low angle first:
| 2theta | I/Imax |
| --- | --- |
| 32.08 | 100 |
| 32.16 | 19 |
| 32.28 | 90 |
| 32.42 | 45 |
| 46.17 | 22 |
| 46.29 | 15 |
| 57.46 | 27 |
| 57.73 | 24 |
| 63.83 | 19 |
| 63.97 | 13 |

Cell and atoms:
```
Ho13Pu2
1.0
6.527 0.000 0.000
1.279 8.700 0.000
1.241 3.452 8.020
Ho Pu
13 2
Cartesian
0.000 0.000 0.000
2.132 8.067 3.515
1.825 2.393 1.639
3.843 8.777 7.825
3.962 10.554 5.103
3.634 4.849 3.220
4.499 4.376 6.688
4.548 7.776 1.332
5.414 7.304 4.800
5.086 1.599 2.917
5.204 3.376 0.195
7.222 9.759 6.382
6.915 4.086 4.505
2.223 6.383 6.150
6.824 5.770 1.870
```